[1]
Starting from a crystal structure in Alexandria, relaxed with GGA-PBE, the powder XRD pattern of CaCdCu10 was computed for a wavelength of 1.5418 Å.
Kinematic intensities with the Lorentz-polarization factor, no thermal factor.

Structural model:
```
data_CaCdCu10
_chemical_formula_sum 'Ca1 Cd1 Cu10'
_space_group_name_H-M_alt 'P m m m'
_space_group_IT_number 47
_cell_length_a 4.092
_cell_length_b 5.000
_cell_length_c 8.671
_cell_angle_alpha 90.00
_cell_angle_beta 90.00
_cell_angle_gamma 90.00
loop_
_space_group_symop_operation_xyz
'x,y,z'
'-x,-y,-z'
'-x,-y,z'
'x,y,-z'
'x,-y,-z'
'-x,y,z'
'-x,y,-z'
'x,-y,z'
loop_
_atom_site_label
_atom_site_fract_x
_atom_site_fract_y
_atom_site_fract_z
Ca1 0.000 0.000 0.000
Cd1 0.000 0.500 0.500
Cu1 0.000 0.000 0.343
Cu2 0.000 0.500 0.179
Cu3 0.500 0.000 0.500
Cu4 0.500 0.249 0.252
Cu5 0.500 0.500 0.000
```

Top 8 peaks for 2θ = 15–90°, by angle:
- d 2.975, 30.04 deg, rel. 20
- d 2.502, 35.90 deg, rel. 21
- d 2.166, 41.69 deg, rel. 31
- d 2.134, 42.35 deg, rel. 100
- d 2.046, 44.27 deg, rel. 33
- d 1.915, 47.49 deg, rel. 34
- d 1.487, 62.43 deg, rel. 17
- d 1.251, 76.10 deg, rel. 17

[2]
Starting from a crystal structure in Alexandria, relaxed with GGA-PBE, the powder XRD pattern of V5CrRu6 was computed for a wavelength of 1.5418 Å.
Kinematic intensities with the Lorentz-polarization factor, no thermal factor.

Structural model:
```
data_V5CrRu6
_chemical_formula_sum 'V5 Cr1 Ru6'
_space_group_name_H-M_alt 'P 1 2/m 1'
_space_group_IT_number 10
_cell_length_a 4.278
_cell_length_b 6.002
_cell_length_c 6.739
_cell_angle_alpha 90.00
_cell_angle_beta 108.57
_cell_angle_gamma 90.00
loop_
_space_group_symop_operation_xyz
'x,y,z'
'-x,-y,-z'
'-x,y,-z'
'x,-y,z'
loop_
_atom_site_label
_atom_site_fract_x
_atom_site_fract_y
_atom_site_fract_z
V1 0.000 0.000 0.000
V2 0.336 0.000 0.669
V3 0.341 0.500 0.679
Cr1 0.000 0.500 0.000
Ru1 0.169 0.251 0.341
Ru2 0.500 0.246 0.000
```

Top 8 peaks for 2θ = 15–90°, by angle:
- d 3.018, 29.60 deg, rel. 13
- d 3.001, 29.77 deg, rel. 6
- d 2.139, 42.25 deg, rel. 20
- d 2.128, 42.47 deg, rel. 100
- d 1.509, 61.44 deg, rel. 13
- d 1.500, 61.83 deg, rel. 6
- d 1.233, 77.42 deg, rel. 13
- d 1.229, 77.71 deg, rel. 18